Simulated PXRD pattern
Compound: ThPa4O10
Radiation: Cu Kα
Structure: a PBE-relaxed structure
Kinematic intensities with the Lorentz-polarization factor, no thermal factor.

Peak list (10 most intense, 10° ≤ 2θ ≤ 80°, in order of falling intensity)
- 2θ 28.11, rel. 100, (0 1 5)
- 2θ 46.73, rel. 49, (1 1 0)
- 2θ 55.43, rel. 47, (2 0 5)
- 2θ 32.57, rel. 37, (1 0 10)
- 2θ 75.41, rel. 10, (1 2 5)
- 2θ 75.30, rel. 10, (0 2 25)
- 2θ 58.15, rel. 8, (0 2 10)
- 2θ 68.23, rel. 8, (2 0 20)
- 2θ 77.72, rel. 7, (2 1 10)
- 2θ 77.62, rel. 7, (1 1 30)

```
data_ThPa4O10
_space_group_name_H-M_alt 'R -3 m'
_space_group_IT_number 166
_space_group_name_Hall '-R 3 2"'
_cell_length_a 3.8849
_cell_length_b 3.8849
_cell_length_c 47.6778
_cell_angle_alpha 90.00
_cell_angle_beta 90.00
_cell_angle_gamma 120.00
loop_
_atom_site_label
_atom_site_type_symbol
_atom_site_fract_x
_atom_site_fract_y
_atom_site_fract_z
_atom_site_occupancy
Th1 Th 0.0000 0.0000 0.0000 1
Pa1 Pa 0.0000 0.0000 0.1994 1
Pa2 Pa 0.0000 0.0000 0.4013 1
O1 O 0.0000 0.0000 0.0516 1
O2 O 0.0000 0.0000 0.1499 1
O3 O 0.0000 0.0000 0.2488 1
O4 O 0.0000 0.0000 0.3513 1
O5 O 0.0000 0.0000 0.4505 1
```

---

Simulated PXRD pattern
Compound: Ca3Mg4Rh4
Radiation: Cu Kα
Structure: a PBE-relaxed structure
Kinematic intensities with the Lorentz-polarization factor, no thermal factor.

Peak list (10 most intense, 10° ≤ 2θ ≤ 80°, in order of falling intensity)
- 2θ 34.56, rel. 100, (1 1 4)
- 2θ 32.62, rel. 85, (1 2 1)
- 2θ 44.53, rel. 60, (1 3 2)
- 2θ 23.75, rel. 50, (1 1 0)
- 2θ 45.21, rel. 50, (1 2 5)
- 2θ 41.34, rel. 46, (2 0 0)
- 2θ 27.61, rel. 37, (1 0 3)
- 2θ 24.73, rel. 34, (0 0 4)
- 2θ 27.46, rel. 34, (0 2 2)
- 2θ 22.18, rel. 26, (0 1 3)

```
data_Ca3Mg4Rh4
_space_group_name_H-M_alt 'I m m m'
_space_group_IT_number 71
_space_group_name_Hall '-I 2 2'
_cell_length_a 4.368
_cell_length_b 7.279
_cell_length_c 14.401
_cell_angle_alpha 90.00
_cell_angle_beta 90.00
_cell_angle_gamma 90.00
loop_
_atom_site_label
_atom_site_type_symbol
_atom_site_fract_x
_atom_site_fract_y
_atom_site_fract_z
_atom_site_occupancy
Ca1 Ca 0.000 0.000 0.000 1
Ca2 Ca 0.000 0.500 0.117 1
Mg1 Mg 0.000 0.301 0.326 1
Rh1 Rh 0.000 0.000 0.218 1
Rh2 Rh 0.000 0.178 0.500 1
```

---

Simulated PXRD pattern
Compound: In4Hg3Br3
Radiation: Cu Kα
Structure: a PBE-relaxed structure
Kinematic intensities with the Lorentz-polarization factor, no thermal factor.

Peak list (10 most intense, 10° ≤ 2θ ≤ 80°, in order of falling intensity)
- 2θ 31.15, rel. 100, (1 3 1)
- 2θ 30.66, rel. 90, (3 1 1)
- 2θ 28.88, rel. 57, (2 2 1)
- 2θ 34.80, rel. 55, (2 4 0)
- 2θ 34.14, rel. 51, (4 2 0)
- 2θ 38.41, rel. 44, (0 0 2)
- 2θ 52.81, rel. 39, (2 4 -2)
- 2θ 24.24, rel. 31, (2 0 -1)
- 2θ 52.32, rel. 31, (4 2 2)
- 2θ 18.93, rel. 26, (0 0 1)

```
data_In4Hg3Br3
_space_group_name_H-M_alt 'C 1 2 1'
_space_group_IT_number 5
_cell_length_a 11.818
_cell_length_b 11.459
_cell_length_c 4.687
_cell_angle_alpha 90.00
_cell_angle_beta 90.00
_cell_angle_gamma 90.00
loop_
_space_group_symop_operation_xyz
'x,y,z'
'-x,y,-z'
'x+1/2,y+1/2,z'
'-x+1/2,y+1/2,-z'
loop_
_atom_site_label
_atom_site_type_symbol
_atom_site_fract_x
_atom_site_fract_y
_atom_site_fract_z
_atom_site_occupancy
In1 In 0.000 0.000 0.000 1
In2 In 0.000 0.285 0.000 1
In3 In 0.151 0.668 0.999 1
Hg1 Hg 0.000 0.490 0.500 1
Hg2 Hg 0.245 0.412 0.000 1
Br1 Br 0.000 0.816 0.500 1
Br2 Br 0.168 0.158 0.500 1
```

---

Simulated PXRD pattern
Compound: Dy7Ho2Th
Radiation: Cu Kα
Structure: a PBE-relaxed structure
Kinematic intensities with the Lorentz-polarization factor, no thermal factor.

Peak list (10 most intense, 10° ≤ 2θ ≤ 80°, in order of falling intensity)
- 2θ 33.68, rel. 100, (1 2 3)
- 2θ 30.86, rel. 32, (0 4 0)
- 2θ 32.35, rel. 25, (0 0 6)
- 2θ 56.70, rel. 23, (1 6 3)
- 2θ 45.31, rel. 20, (0 4 6)
- 2θ 58.56, rel. 19, (1 2 9)
- 2θ 26.41, rel. 12, (0 2 4)
- 2θ 76.21, rel. 12, (1 6 9)
- 2θ 70.82, rel. 11, (2 4 6)
- 2θ 61.07, rel. 9, (2 4 0)

```
data_Dy7Ho2Th
_space_group_name_H-M_alt 'I m m m'
_space_group_IT_number 71
_space_group_name_Hall '-I 2 2'
_cell_length_a 3.562
_cell_length_b 11.592
_cell_length_c 16.606
_cell_angle_alpha 90.00
_cell_angle_beta 90.00
_cell_angle_gamma 90.00
loop_
_atom_site_label
_atom_site_type_symbol
_atom_site_fract_x
_atom_site_fract_y
_atom_site_fract_z
_atom_site_occupancy
Dy1 Dy 0.000 0.000 0.000 1
Dy2 Dy 0.000 0.250 0.152 1
Dy3 Dy 0.000 0.500 0.330 1
Ho1 Ho 0.000 0.000 0.332 1
Th1 Th 0.000 0.500 0.000 1
```

---

Simulated PXRD pattern
Compound: LaSmTe2S
Radiation: Cu Kα
Structure: a PBE-relaxed structure
Kinematic intensities with the Lorentz-polarization factor, no thermal factor.

Peak list (10 most intense, 10° ≤ 2θ ≤ 80°, in order of falling intensity)
- 2θ 27.80, rel. 100, (1 1 0)
- 2θ 39.73, rel. 49, (2 0 0)
- 2θ 35.94, rel. 46, (1 1 4)
- 2θ 25.83, rel. 38, (1 0 3)
- 2θ 39.32, rel. 28, (1 0 6)
- 2θ 22.33, rel. 25, (0 0 4)
- 2θ 57.13, rel. 19, (2 1 6)
- 2θ 64.99, rel. 18, (3 1 0)
- 2θ 44.28, rel. 18, (1 1 6)
- 2θ 57.43, rel. 17, (2 2 0)

```
data_LaSmTe2S
_space_group_name_H-M_alt 'P 4/n m m'
_space_group_IT_number 129
_cell_length_a 4.538
_cell_length_b 4.538
_cell_length_c 15.929
_cell_angle_alpha 90.00
_cell_angle_beta 90.00
_cell_angle_gamma 90.00
loop_
_space_group_symop_operation_xyz
'x,y,z'
'-x,-y,-z'
'-y+1/2,x,z'
'y+1/2,-x,-z'
'-x+1/2,-y+1/2,z'
'x+1/2,y+1/2,-z'
'y,-x+1/2,z'
'-y,x+1/2,-z'
'x+1/2,-y,-z'
'-x+1/2,y,z'
'-y,-x,-z'
'y,x,z'
'-x,y+1/2,-z'
'x,-y+1/2,z'
'y+1/2,x+1/2,-z'
'-y+1/2,-x+1/2,z'
loop_
_atom_site_label
_atom_site_type_symbol
_atom_site_fract_x
_atom_site_fract_y
_atom_site_fract_z
_atom_site_occupancy
La1 La 0.250 0.250 0.104 1
Sm1 Sm 0.250 0.250 0.613 1
Te1 Te 0.250 0.250 0.406 1
Te2 Te 0.250 0.250 0.798 1
S1 S 0.250 0.750 0.000 1
```

---

Simulated PXRD pattern
Compound: Na3Ac3GeSe8
Radiation: Cu Kα
Structure: a PBE-relaxed structure
Kinematic intensities with the Lorentz-polarization factor, no thermal factor.

Peak list (10 most intense, 10° ≤ 2θ ≤ 80°, in order of falling intensity)
- 2θ 28.92, rel. 100, (0 2 4)
- 2θ 12.64, rel. 65, (0 0 3)
- 2θ 40.97, rel. 36, (2 2 0)
- 2θ 41.75, rel. 35, (2 0 8)
- 2θ 23.70, rel. 34, (0 2 1)
- 2θ 43.04, rel. 19, (2 2 3)
- 2θ 38.14, rel. 18, (0 2 7)
- 2θ 50.92, rel. 17, (4 0 4)
- 2θ 68.44, rel. 13, (2 2 12)
- 2θ 67.33, rel. 13, (2 4 4)

```
data_Na3Ac3GeSe8
_space_group_name_H-M_alt 'R -3 m'
_space_group_IT_number 166
_space_group_name_Hall '-R 3 2"'
_cell_length_a 8.8116
_cell_length_b 8.8116
_cell_length_c 21.0158
_cell_angle_alpha 90.00
_cell_angle_beta 90.00
_cell_angle_gamma 120.00
loop_
_atom_site_label
_atom_site_type_symbol
_atom_site_fract_x
_atom_site_fract_y
_atom_site_fract_z
_atom_site_occupancy
Na1 Na 0.0000 0.5000 0.0000 1
Ac1 Ac 0.0000 0.5000 0.5000 1
Ge1 Ge 0.0000 0.0000 0.5000 1
Se1 Se 0.0000 0.0000 0.2485 1
Se2 Se 0.0469 0.5234 0.2403 1
```